# 1
For Nd3PdPt8, a structure optimized by DFT (PBE) gives the simulated X-ray diffraction stick pattern in this record (copper Kα).

Most intense lines, 2θ = 10–80°, in order of falling intensity:
- 2θ = 38.7°, rel. 100
- 2θ = 40.5°, rel. 55
- 2θ = 62.5°, rel. 30
- 2θ = 68.8°, rel. 29
- 2θ = 19.9°, rel. 21
- 2θ = 32.8°, rel. 17
- 2θ = 47.1°, rel. 12
- 2θ = 51.6°, rel. 6
- 2θ = 58.6°, rel. 5
- 2θ = 72.4°, rel. 4

Crystal structure
Lattice parameters (Å, degrees): 9.444 9.444 9.444 33.61 33.61 33.61
Element x y z (fractional)
Nd 0.000 0.000 0.000
Nd 0.131 0.131 0.131
Nd 0.610 0.610 0.610
Pd 0.490 0.490 0.490
Pt 0.059 0.059 0.564
Pt 0.059 0.564 0.059
Pt 0.061 0.560 0.560
Pt 0.310 0.310 0.310
Pt 0.560 0.061 0.560
Pt 0.560 0.560 0.061
Pt 0.564 0.059 0.059
Pt 0.811 0.811 0.811

# 2
For Nd2Pd3Pt2, a structure optimized by DFT (PBE) gives the simulated X-ray diffraction stick pattern in this record (copper Kα).

Most intense lines, 2θ = 10–80°, in order of falling intensity:
- 2θ = 40.2°, rel. 100
- 2θ = 30.1°, rel. 91
- 2θ = 33.8°, rel. 60
- 2θ = 43.1°, rel. 47
- 2θ = 37.1°, rel. 41
- 2θ = 75.1°, rel. 39
- 2θ = 55.9°, rel. 29
- 2θ = 45.9°, rel. 26
- 2θ = 62.6°, rel. 24
- 2θ = 60.4°, rel. 22

Crystal structure
Lattice parameters (Å, degrees): 7.265 7.265 7.265 109.47 109.47 109.47
Element x y z (fractional)
Nd 0.000 0.519 0.500
Nd 0.500 0.000 0.519
Nd 0.519 0.500 0.000
Nd 0.981 0.981 0.981
Pd 0.018 0.268 0.750
Pd 0.232 0.250 0.482
Pd 0.250 0.482 0.232
Pd 0.268 0.750 0.018
Pd 0.482 0.232 0.250
Pd 0.750 0.018 0.268
Pt 0.000 0.889 0.500
Pt 0.500 0.000 0.889
Pt 0.611 0.611 0.611
Pt 0.889 0.500 0.000

# 3
For Nd2Pd5Pt5, a structure optimized by DFT (PBE) gives the simulated X-ray diffraction stick pattern in this record (copper Kα).

Most intense lines, 2θ = 10–80°, in order of falling intensity:
- 2θ = 39.0°, rel. 100
- 2θ = 33.2°, rel. 30
- 2θ = 43.7°, rel. 29
- 2θ = 40.5°, rel. 28
- 2θ = 19.0°, rel. 22
- 2θ = 63.2°, rel. 18
- 2θ = 72.7°, rel. 16
- 2θ = 38.5°, rel. 12
- 2θ = 69.8°, rel. 11
- 2θ = 53.3°, rel. 9

Crystal structure
Lattice parameters (Å, degrees): 4.457 5.403 9.332 90.00 90.00 90.00
Element x y z (fractional)
Nd 0.000 0.000 0.000
Nd 0.000 0.500 0.500
Pd 0.500 0.000 0.500
Pd 0.500 0.249 0.250
Pd 0.500 0.249 0.750
Pd 0.500 0.751 0.250
Pd 0.500 0.751 0.750
Pt 0.000 0.000 0.334
Pt 0.000 0.000 0.666
Pt 0.000 0.500 0.165
Pt 0.000 0.500 0.835
Pt 0.500 0.500 0.000

# 4
For Nd2Sb4Pd3Pt, a structure optimized by DFT (PBE) gives the simulated X-ray diffraction stick pattern in this record (copper Kα).

Most intense lines, 2θ = 10–80°, in order of falling intensity:
- 2θ = 32.1°, rel. 100
- 2θ = 38.9°, rel. 69
- 2θ = 31.7°, rel. 48
- 2θ = 43.7°, rel. 31
- 2θ = 66.2°, rel. 27
- 2θ = 51.0°, rel. 25
- 2θ = 56.2°, rel. 24
- 2θ = 46.8°, rel. 19
- 2θ = 62.4°, rel. 16
- 2θ = 59.0°, rel. 14

Crystal structure
Lattice parameters (Å, degrees): 4.627 4.627 10.705 90.00 90.00 90.00
Element x y z (fractional)
Nd 0.000 0.500 0.236
Nd 0.500 0.000 0.764
Sb 0.000 0.000 0.500
Sb 0.000 0.500 0.872
Sb 0.500 0.000 0.128
Sb 0.500 0.500 0.500
Pd 0.000 0.000 0.000
Pd 0.000 0.500 0.630
Pd 0.500 0.000 0.370
Pt 0.500 0.500 0.000

# 5
For Nd3Si2PdPt9, a structure optimized by DFT (PBE) gives the simulated X-ray diffraction stick pattern in this record (copper Kα).

Most intense lines, 2θ = 10–80°, in order of falling intensity:
- 2θ = 37.3°, rel. 100
- 2θ = 40.0°, rel. 99
- 2θ = 24.1°, rel. 63
- 2θ = 49.5°, rel. 33
- 2θ = 65.5°, rel. 28
- 2θ = 71.0°, rel. 18
- 2θ = 55.8°, rel. 16
- 2θ = 79.5°, rel. 15
- 2θ = 19.7°, rel. 14
- 2θ = 30.3°, rel. 13

Crystal structure
Lattice parameters (Å, degrees): 5.695 5.695 11.064 90.00 90.00 120.00
Element x y z (fractional)
Nd 0.000 0.000 0.000
Nd 0.333 0.667 0.584
Nd 0.667 0.333 0.416
Si 0.333 0.667 0.160
Si 0.667 0.333 0.840
Pd 0.000 0.000 0.500
Pt 0.000 0.500 0.000
Pt 0.162 0.324 0.307
Pt 0.162 0.838 0.307
Pt 0.324 0.162 0.693
Pt 0.500 0.000 0.000
Pt 0.500 0.500 0.000
Pt 0.676 0.838 0.307
Pt 0.838 0.162 0.693
Pt 0.838 0.676 0.693

# 6
For NdYPdPt, a structure optimized by DFT (PBE) gives the simulated X-ray diffraction stick pattern in this record (copper Kα).

Most intense lines, 2θ = 10–80°, in order of falling intensity:
- 2θ = 39.7°, rel. 100
- 2θ = 31.6°, rel. 83
- 2θ = 33.3°, rel. 26
- 2θ = 38.9°, rel. 24
- 2θ = 47.3°, rel. 22
- 2θ = 52.7°, rel. 16
- 2θ = 73.5°, rel. 16
- 2θ = 63.4°, rel. 14
- 2θ = 72.0°, rel. 14
- 2θ = 34.2°, rel. 13

Crystal structure
Lattice parameters (Å, degrees): 4.547 5.712 5.712 39.34 90.00 90.00
Element x y z (fractional)
Nd 0.000 0.000 0.000
Y 0.500 0.726 0.726
Pd 0.500 0.447 0.447
Pt 0.000 0.274 0.274

# 7
For Nd2ZnPd2Pt5, a structure optimized by DFT (PBE) gives the simulated X-ray diffraction stick pattern in this record (copper Kα).

Most intense lines, 2θ = 10–80°, in order of falling intensity:
- 2θ = 37.0°, rel. 100
- 2θ = 39.1°, rel. 40
- 2θ = 40.6°, rel. 38
- 2θ = 43.7°, rel. 34
- 2θ = 40.2°, rel. 25
- 2θ = 60.1°, rel. 23
- 2θ = 34.4°, rel. 22
- 2θ = 43.9°, rel. 22
- 2θ = 60.9°, rel. 15
- 2θ = 30.1°, rel. 14

Crystal structure
Lattice parameters (Å, degrees): 9.507 9.507 4.138 90.00 90.00 90.00
Element x y z (fractional)
Nd 0.173 0.327 0.000
Nd 0.327 0.827 0.000
Nd 0.673 0.173 0.000
Nd 0.827 0.673 0.000
Zn 0.000 0.000 0.000
Zn 0.500 0.500 0.000
Pd 0.126 0.626 0.000
Pd 0.374 0.126 0.000
Pd 0.626 0.874 0.000
Pd 0.874 0.374 0.000
Pt 0.000 0.500 0.500
Pt 0.056 0.800 0.500
Pt 0.200 0.056 0.500
Pt 0.300 0.556 0.500
Pt 0.444 0.300 0.500
Pt 0.500 0.000 0.500
Pt 0.556 0.700 0.500
Pt 0.700 0.444 0.500
Pt 0.800 0.944 0.500
Pt 0.944 0.200 0.500

# 8
For Nd2PuPd, a structure optimized by DFT (PBE) gives the simulated X-ray diffraction stick pattern in this record (copper Kα).

Most intense lines, 2θ = 10–80°, in order of falling intensity:
- 2θ = 32.5°, rel. 100
- 2θ = 34.9°, rel. 47
- 2θ = 61.1°, rel. 33
- 2θ = 26.7°, rel. 19
- 2θ = 50.2°, rel. 17
- 2θ = 56.3°, rel. 14
- 2θ = 47.9°, rel. 11
- 2θ = 31.7°, rel. 8
- 2θ = 60.3°, rel. 8
- 2θ = 68.0°, rel. 8

Crystal structure
Lattice parameters (Å, degrees): 3.632 3.632 8.469 90.00 90.00 90.00
Element x y z (fractional)
Nd 0.000 0.000 0.207
Nd 0.000 0.000 0.793
Pu 0.500 0.500 0.500
Pd 0.500 0.500 0.000

# 9
For NdPu5Pd6, a structure optimized by DFT (PBE) gives the simulated X-ray diffraction stick pattern in this record (copper Kα).

Most intense lines, 2θ = 10–80°, in order of falling intensity:
- 2θ = 36.2°, rel. 100
- 2θ = 35.1°, rel. 27
- 2θ = 35.5°, rel. 27
- 2θ = 50.7°, rel. 19
- 2θ = 63.7°, rel. 19
- 2θ = 64.2°, rel. 19
- 2θ = 24.7°, rel. 15
- 2θ = 76.9°, rel. 11
- 2θ = 65.7°, rel. 9
- 2θ = 65.9°, rel. 9

Crystal structure
Lattice parameters (Å, degrees): 8.779 8.779 8.779 146.50 134.16 57.96
Element x y z (fractional)
Nd 0.000 0.000 0.000
Pu 0.166 0.666 0.500
Pu 0.328 0.328 0.000
Pu 0.500 0.000 0.500
Pu 0.672 0.672 0.000
Pu 0.834 0.334 0.500
Pd 0.091 0.834 0.257
Pd 0.266 0.500 0.766
Pd 0.423 0.166 0.257
Pd 0.577 0.834 0.743
Pd 0.734 0.500 0.234
Pd 0.909 0.166 0.743

# 10
For Nd3PdRh8, a structure optimized by DFT (PBE) gives the simulated X-ray diffraction stick pattern in this record (copper Kα).

Most intense lines, 2θ = 10–80°, in order of falling intensity:
- 2θ = 39.4°, rel. 100
- 2θ = 33.4°, rel. 35
- 2θ = 41.3°, rel. 34
- 2θ = 63.8°, rel. 30
- 2θ = 70.3°, rel. 25
- 2θ = 59.8°, rel. 12
- 2θ = 30.6°, rel. 3
- 2θ = 48.0°, rel. 3
- 2θ = 63.5°, rel. 3
- 2θ = 46.0°, rel. 2

Crystal structure
Lattice parameters (Å, degrees): 9.288 9.288 9.288 33.52 33.52 33.52
Element x y z (fractional)
Nd 0.000 0.000 0.000
Nd 0.131 0.131 0.131
Nd 0.517 0.517 0.517
Pd 0.640 0.640 0.640
Rh 0.067 0.568 0.568
Rh 0.070 0.070 0.569
Rh 0.070 0.569 0.070
Rh 0.318 0.318 0.318
Rh 0.568 0.067 0.568
Rh 0.568 0.568 0.067
Rh 0.569 0.070 0.070
Rh 0.819 0.819 0.819

# 11
For NdZn5PdRh2, a structure optimized by DFT (PBE) gives the simulated X-ray diffraction stick pattern in this record (copper Kα).

Most intense lines, 2θ = 10–80°, in order of falling intensity:
- 2θ = 37.6°, rel. 100
- 2θ = 36.2°, rel. 61
- 2θ = 30.8°, rel. 45
- 2θ = 53.8°, rel. 39
- 2θ = 54.2°, rel. 34
- 2θ = 37.0°, rel. 24
- 2θ = 49.4°, rel. 24
- 2θ = 26.3°, rel. 24
- 2θ = 67.5°, rel. 23
- 2θ = 67.0°, rel. 20

Crystal structure
Lattice parameters (Å, degrees): 4.784 4.784 7.297 90.00 90.00 90.00
Element x y z (fractional)
Nd 0.000 0.000 0.000
Zn 0.000 0.500 0.303
Zn 0.000 0.500 0.697
Zn 0.500 0.000 0.303
Zn 0.500 0.000 0.697
Zn 0.500 0.500 0.000
Pd 0.000 0.000 0.500
Rh 0.500 0.500 0.328
Rh 0.500 0.500 0.672

# 12
For Nd12Pd6Ru, a structure optimized by DFT (PBE) gives the simulated X-ray diffraction stick pattern in this record (copper Kα).

Most intense lines, 2θ = 10–80°, in order of falling intensity:
- 2θ = 36.0°, rel. 100
- 2θ = 37.4°, rel. 96
- 2θ = 32.6°, rel. 78
- 2θ = 25.7°, rel. 61
- 2θ = 22.5°, rel. 60
- 2θ = 29.8°, rel. 48
- 2θ = 52.6°, rel. 41
- 2θ = 52.9°, rel. 24
- 2θ = 28.1°, rel. 23
- 2θ = 70.0°, rel. 22

Crystal structure
Lattice parameters (Å, degrees): 8.436 8.436 8.436 97.83 97.83 97.83
Element x y z (fractional)
Nd 0.037 0.680 0.926
Nd 0.074 0.963 0.320
Nd 0.183 0.418 0.579
Nd 0.320 0.074 0.963
Nd 0.418 0.579 0.183
Nd 0.421 0.817 0.582
Nd 0.579 0.183 0.418
Nd 0.582 0.421 0.817
Nd 0.680 0.926 0.037
Nd 0.817 0.582 0.421
Nd 0.926 0.037 0.680
Nd 0.963 0.320 0.074
Pd 0.129 0.621 0.311
Pd 0.311 0.129 0.621
Pd 0.379 0.689 0.871
Pd 0.621 0.311 0.129
Pd 0.689 0.871 0.379
Pd 0.871 0.379 0.689
Ru 0.000 0.000 0.000

# 13
For NdZrPdRu, a structure optimized by DFT (PBE) gives the simulated X-ray diffraction stick pattern in this record (copper Kα).

Most intense lines, 2θ = 10–80°, in order of falling intensity:
- 2θ = 37.0°, rel. 100
- 2θ = 66.7°, rel. 35
- 2θ = 53.3°, rel. 17
- 2θ = 78.8°, rel. 11
- 2θ = 22.4°, rel. 3
- 2θ = 43.7°, rel. 2
- 2θ = 58.5°, rel. 1
- 2θ = 71.3°, rel. 1

Crystal structure
Lattice parameters (Å, degrees): 4.860 4.860 4.860 60.00 60.00 60.00
Element x y z (fractional)
Nd 0.000 0.000 0.000
Zr 0.500 0.500 0.500
Pd 0.750 0.750 0.750
Ru 0.250 0.250 0.250